Starting from a cell relaxed with GGA-PBE, the powder X-ray diffraction pattern of Ac2NdPbO6 was simulated for CuKα.
Lines closer than 0.1° are merged.

Largest 6 diffraction maxima, low angle first, 2θ = 10–90°:
2θ (°)	Rel. int.
27.77	100
28.30	99
40.06	44
44.69	18
49.77	45
50.09	28

Structural model:
a b c (Å): 6.3080 6.3080 15.8867
angles (deg): 90.00 90.00 120.00
Space group R3 (No. 146, hexagonal axes)
Unique sites:
Ac: 0.0000 0.0000 0.0000 (multiplicity 3)
Ac: 0.0000 0.0000 0.4986 (multiplicity 3)
Nd: 0.0000 0.0000 0.7243 (multiplicity 3)
Pb: 0.0000 0.0000 0.2228 (multiplicity 3)
O: 0.0612 0.6956 0.7831 (multiplicity 9)
O: 0.0633 0.3754 0.2842 (multiplicity 9)